No. 1
The following is a simulated powder diffraction line list of MgBiAsO6. It was derived from a DFT-relaxed cell (GGA-PBE, the Materials Project), using Cu Kα, 1.54184 Å.
Intensities are scaled so that the largest is 1000.

Largest 10 diffraction maxima, low angle first, 2θ = 10–90°:
| 2θ/deg | d/Å | I/Imax |
| --- | --- | --- |
| 11.46 | 7.718 | 588 |
| 21.48 | 4.136 | 1000 |
| 22.41 | 3.967 | 250 |
| 23.39 | 3.803 | 365 |
| 26.27 | 3.392 | 717 |
| 28.26 | 3.158 | 270 |
| 32.01 | 2.796 | 351 |
| 32.59 | 2.748 | 271 |
| 35.33 | 2.541 | 319 |
| 47.59 | 1.911 | 309 |

Cell and atoms:
abc: 6.550 5.496 8.048
angles: 90.00 106.45 90.00
Element x y z (fractional)
1 Mg 0.119 0.250 0.418
2 Mg 0.881 0.750 0.582
3 Bi 0.192 0.750 0.033
4 Bi 0.808 0.250 0.967
5 As 0.370 0.750 0.670
6 As 0.630 0.250 0.330
7 O 0.039 0.040 0.173
8 O 0.039 0.460 0.173
9 O 0.191 0.514 0.609
10 O 0.191 0.986 0.609
11 O 0.426 0.250 0.417
12 O 0.463 0.750 0.896
13 O 0.537 0.250 0.104
14 O 0.574 0.750 0.583
15 O 0.809 0.014 0.391
16 O 0.809 0.486 0.391
17 O 0.961 0.540 0.827
18 O 0.961 0.960 0.827

---

No. 2
The following is a simulated powder diffraction line list of HoPaOs2. It was derived from a DFT-relaxed cell (GGA-PBE, the Materials Project), using Cu Kα, 1.54184 Å.
Intensities are scaled so that the largest is 1000.

Largest 6 diffraction maxima, low angle first, 2θ = 10–90°:
| 2θ/deg | d/Å | I/Imax |
| --- | --- | --- |
| 22.46 | 3.958 | 15 |
| 37.09 | 2.424 | 1000 |
| 43.80 | 2.067 | 9 |
| 53.46 | 1.714 | 178 |
| 66.86 | 1.399 | 366 |
| 79.00 | 1.212 | 116 |

Cell and atoms:
abc: 4.848 4.848 4.848
angles: 60.00 60.00 60.00
Element x y z (fractional)
1 Ho 0.000 0.000 0.000
2 Pa 0.500 0.500 0.500
3 Os 0.250 0.250 0.250
4 Os 0.750 0.750 0.750

---

No. 3
The following is a simulated powder diffraction line list of UCdO4. It was derived from a DFT-relaxed cell (GGA-PBE, the Materials Project), using Cu Kα, 1.54184 Å.
Intensities are scaled so that the largest is 1000.

Largest 10 diffraction maxima, low angle first, 2θ = 10–90°:
| 2θ/deg | d/Å | I/Imax |
| --- | --- | --- |
| 14.68 | 6.035 | 198 |
| 28.46 | 3.136 | 1000 |
| 29.60 | 3.018 | 304 |
| 33.32 | 2.689 | 442 |
| 47.08 | 1.930 | 352 |
| 48.58 | 1.874 | 299 |
| 55.94 | 1.644 | 153 |
| 56.60 | 1.626 | 298 |
| 57.92 | 1.592 | 138 |
| 76.05 | 1.251 | 128 |

Cell and atoms:
abc: 6.434 6.434 6.434
angles: 34.91 34.91 34.91
Element x y z (fractional)
1 U 0.000 0.000 0.000
2 Cd 0.500 0.500 0.500
3 O 0.112 0.112 0.112
4 O 0.361 0.361 0.361
5 O 0.639 0.639 0.639
6 O 0.888 0.888 0.888